No. 1
Tb12Ho5Pu: simulated powder diffraction line list (Cu Kα, 1.54184 Å), based on the GGA-PBE geometry in Alexandria.
Peak positions follow from Bragg's law for the DFT cell and can differ from measured ones.

Main lines, by angle (2θ from 10° to 80°):
2theta, Rel. int.
11.78, 1
30.93, 100
35.87, 51
51.63, 36
61.41, 43
64.46, 12
76.03, 6

```
data_Tb12Ho5Pu
_chemical_formula_sum 'Tb12 Ho5 Pu1'
_cell_length_a 10.623
_cell_length_b 10.623
_cell_length_c 5.005
_cell_angle_alpha 90.00
_cell_angle_beta 90.00
_cell_angle_gamma 90.02
_space_group_name_H-M_alt 'P 1'
_space_group_IT_number 1
loop_
_space_group_symop_operation_xyz
'x,y,z'
loop_
_atom_site_label
_atom_site_fract_x
_atom_site_fract_y
_atom_site_fract_z
Tb1 0.000 0.331 0.500
Tb2 0.000 0.669 0.500
Tb3 0.165 0.835 0.000
Tb4 0.168 0.500 0.000
Tb5 0.331 0.000 0.500
Tb6 0.334 0.666 0.500
Tb7 0.500 0.168 0.000
Tb8 0.500 0.832 0.000
Tb9 0.666 0.334 0.500
Tb10 0.669 0.000 0.500
Tb11 0.832 0.500 0.000
Tb12 0.835 0.165 0.000
Ho1 0.165 0.165 0.000
Ho2 0.334 0.334 0.500
Ho3 0.500 0.500 0.000
Ho4 0.666 0.666 0.500
Ho5 0.835 0.835 0.000
Pu1 0.000 0.000 0.500
```

No. 2
K3Mn: simulated powder diffraction line list (Cu Kα, 1.54184 Å), based on the GGA-PBE geometry in Alexandria.
Peak positions follow from Bragg's law for the DFT cell and can differ from measured ones.

Main lines, by angle (2θ from 10° to 80°):
2theta, Rel. int.
24.09, 28
26.17, 15
27.47, 100
31.21, 17
35.87, 17
42.37, 21
47.00, 10
50.49, 13
51.24, 15
68.60, 11

```
data_K3Mn
_chemical_formula_sum 'K3 Mn1'
_cell_length_a 4.266
_cell_length_b 4.266
_cell_length_c 13.618
_cell_angle_alpha 90.00
_cell_angle_beta 90.00
_cell_angle_gamma 120.00
_space_group_name_H-M_alt 'P 1'
_space_group_IT_number 1
loop_
_space_group_symop_operation_xyz
'x,y,z'
loop_
_atom_site_label
_atom_site_fract_x
_atom_site_fract_y
_atom_site_fract_z
K1 0.000 0.000 0.000
K2 0.333 0.667 0.296
K3 0.333 0.667 0.704
Mn1 0.000 0.000 0.500
```

No. 3
Zr6GaC: simulated powder diffraction line list (Cu Kα, 1.54184 Å), based on the GGA-PBE geometry in Alexandria.
Peak positions follow from Bragg's law for the DFT cell and can differ from measured ones.

Main lines, by angle (2θ from 10° to 80°):
2theta, Rel. int.
26.72, 5
34.12, 100
34.63, 34
39.75, 70
57.14, 20
57.82, 23
68.26, 10
68.56, 22
69.18, 12
71.86, 9

```
data_Zr6GaC
_chemical_formula_sum 'Zr6 Ga1 C1'
_cell_length_a 5.565
_cell_length_b 5.565
_cell_length_c 5.565
_cell_angle_alpha 100.08
_cell_angle_beta 100.08
_cell_angle_gamma 100.08
_space_group_name_H-M_alt 'P 1'
_space_group_IT_number 1
loop_
_space_group_symop_operation_xyz
'x,y,z'
loop_
_atom_site_label
_atom_site_fract_x
_atom_site_fract_y
_atom_site_fract_z
Zr1 0.083 0.762 0.662
Zr2 0.238 0.338 0.917
Zr3 0.338 0.917 0.238
Zr4 0.662 0.083 0.762
Zr5 0.762 0.662 0.083
Zr6 0.917 0.238 0.338
Ga1 0.500 0.500 0.500
C1 0.000 0.000 0.000
```